No. 1
The following is a calculated X-ray diffraction stick pattern of Dy6CoSn3. It was derived from a structure optimized by DFT (PBE), using Cu Kα (λ = 1.5418 Å).
Lines closer than 0.1° are merged.

Cell and atoms:
Cell: 9.288 9.288 7.224 Å, 90.00 90.00 102.09°
Positions (direct):
1 Dy 0.009 0.991 0.500
2 Dy 0.096 0.606 0.411
3 Dy 0.237 0.763 0.944
4 Dy 0.308 0.371 0.942
5 Dy 0.371 0.308 0.442
6 Dy 0.394 0.904 0.411
7 Dy 0.606 0.096 0.911
8 Dy 0.629 0.692 0.942
9 Dy 0.692 0.629 0.442
10 Dy 0.763 0.237 0.444
11 Dy 0.904 0.394 0.911
12 Dy 0.991 0.009 0.000
13 Co 0.137 0.863 0.242
14 Co 0.863 0.137 0.742
15 Sn 0.071 0.295 0.247
16 Sn 0.295 0.071 0.747
17 Sn 0.386 0.614 0.633
18 Sn 0.614 0.386 0.133
19 Sn 0.705 0.929 0.247
20 Sn 0.929 0.705 0.747

Main lines, in order of rising 2θ (10 to 90 degrees two-theta):
23.14 deg, d = 3.844 Å, I 366; 24.65 deg, d = 3.612 Å, I 421; 29.51 deg, d = 3.027 Å, I 295; 32.06 deg, d = 2.792 Å, I 1000; 34.43 deg, d = 2.604 Å, I 515; 35.14 deg, d = 2.554 Å, I 767

---

No. 2
The following is a calculated X-ray diffraction stick pattern of NdTi2CdO6F. It was derived from a structure optimized by DFT (PBE), using Cu Kα (λ = 1.5418 Å).
Lines closer than 0.1° are merged.

Cell and atoms:
Cell: 7.287 7.287 7.287 Å, 121.33 116.91 91.57°
Positions (direct):
1 Nd 0.000 0.000 0.000
2 Nd 0.500 0.000 0.500
3 Ti 0.000 0.500 0.500
4 Ti 0.500 0.000 0.000
5 Ti 0.500 0.500 0.000
6 Ti 0.500 0.500 0.500
7 Cd 0.000 0.000 0.500
8 Cd 0.000 0.500 0.000
9 O 0.157 0.407 0.750
10 O 0.181 0.419 0.357
11 O 0.181 0.824 0.762
12 O 0.418 0.168 0.250
13 O 0.438 0.176 0.857
14 O 0.438 0.581 0.262
15 O 0.562 0.419 0.738
16 O 0.562 0.824 0.143
17 O 0.582 0.832 0.750
18 O 0.819 0.176 0.238
19 O 0.819 0.581 0.643
20 O 0.843 0.593 0.250
21 F 0.129 0.879 0.250
22 F 0.871 0.121 0.750

Main lines, in order of rising 2θ (10 to 90 degrees two-theta):
15.17 deg, d = 5.842 Å, I 282; 29.29 deg, d = 3.049 Å, I 1000; 30.61 deg, d = 2.921 Å, I 855; 34.42 deg, d = 2.606 Å, I 342; 50.15 deg, d = 1.819 Å, I 605; 57.75 deg, d = 1.596 Å, I 269

---

No. 3
The following is a calculated X-ray diffraction stick pattern of PmSm3Th. It was derived from a structure optimized by DFT (PBE), using Cu Kα (λ = 1.5418 Å).
Lines closer than 0.1° are merged.

Cell and atoms:
Cell: 6.339 6.917 9.365 Å, 70.91 89.94 62.75°
Positions (direct):
1 Pm 0.134 0.409 0.348
2 Pm 0.866 0.591 0.652
3 Sm 0.054 0.202 0.055
4 Sm 0.275 0.797 0.458
5 Sm 0.344 0.995 0.762
6 Sm 0.656 0.005 0.238
7 Sm 0.725 0.203 0.542
8 Sm 0.946 0.798 0.945
9 Th 0.476 0.403 0.849
10 Th 0.524 0.597 0.151

Main lines, in order of rising 2θ (10 to 90 degrees two-theta):
28.20 deg, d = 3.165 Å, I 234; 30.45 deg, d = 2.936 Å, I 258; 32.13 deg, d = 2.786 Å, I 1000; 41.97 deg, d = 2.153 Å, I 133; 55.18 deg, d = 1.665 Å, I 216; 59.56 deg, d = 1.552 Å, I 150

---

No. 4
The following is a calculated X-ray diffraction stick pattern of CsSb2S4. It was derived from a structure optimized by DFT (PBE), using Cu Kα (λ = 1.5418 Å).
Lines closer than 0.1° are merged.

Cell and atoms:
Cell: 7.028 7.258 11.566 Å, 98.93 107.66 97.99°
Positions (direct):
1 Cs 0.000 0.000 0.000
2 Cs 0.122 0.849 0.557
3 Sb 0.440 0.328 0.363
4 Sb 0.446 0.442 0.730
5 Sb 0.554 0.882 0.274
6 Sb 0.840 0.278 0.632
7 S 0.148 0.243 0.789
8 S 0.185 0.477 0.215
9 S 0.221 0.383 0.510
10 S 0.263 0.992 0.323
11 S 0.335 0.594 0.107
12 S 0.595 0.140 0.173
13 S 0.601 0.156 0.741
14 S 0.799 0.602 0.688

Main lines, in order of rising 2θ (10 to 90 degrees two-theta):
13.51 deg, d = 6.553 Å, I 690; 16.44 deg, d = 5.392 Å, I 782; 17.48 deg, d = 5.073 Å, I 759; 24.61 deg, d = 3.617 Å, I 1000; 25.36 deg, d = 3.512 Å, I 931; 31.62 deg, d = 2.829 Å, I 637

---

No. 5
The following is a calculated X-ray diffraction stick pattern of ZnSbPb2. It was derived from a structure optimized by DFT (PBE), using Cu Kα (λ = 1.5418 Å).
Lines closer than 0.1° are merged.

Cell and atoms:
Cell: 3.356 5.388 6.168 Å, 90.00 91.77 90.00°
Positions (direct):
1 Zn 0.000 0.000 0.000
2 Sb 0.500 0.000 0.500
3 Pb 0.231 0.500 0.761
4 Pb 0.769 0.500 0.239

Main lines, in order of rising 2θ (10 to 90 degrees two-theta):
16.45 deg, d = 5.388 Å, I 337; 30.74 deg, d = 2.909 Å, I 633; 33.26 deg, d = 2.694 Å, I 516; 33.49 deg, d = 2.675 Å, I 1000; 34.34 deg, d = 2.611 Å, I 927; 45.91 deg, d = 1.977 Å, I 424

---

No. 6
The following is a calculated X-ray diffraction stick pattern of NpTlTe4. It was derived from a structure optimized by DFT (PBE), using Cu Kα (λ = 1.5418 Å).
Lines closer than 0.1° are merged.

Cell and atoms:
Cell: 6.819 6.819 8.763 Å, 90.00 90.00 90.00°
Positions (direct):
1 Np 0.250 0.250 0.000
2 Np 0.750 0.750 0.000
3 Tl 0.250 0.250 0.500
4 Tl 0.750 0.750 0.500
5 Te 0.101 0.601 0.211
6 Te 0.101 0.899 0.789
7 Te 0.399 0.601 0.789
8 Te 0.399 0.899 0.211
9 Te 0.601 0.101 0.789
10 Te 0.601 0.399 0.211
11 Te 0.899 0.101 0.211
12 Te 0.899 0.399 0.789

Main lines, in order of rising 2θ (10 to 90 degrees two-theta):
18.40 deg, d = 4.822 Å, I 243; 27.51 deg, d = 3.243 Å, I 1000; 31.05 deg, d = 2.880 Å, I 594; 33.30 deg, d = 2.691 Å, I 567; 41.90 deg, d = 2.156 Å, I 482; 42.84 deg, d = 2.111 Å, I 283